Starting from DFT lattice parameters and positions (GGA-PBE), the powder X-ray diffraction pattern of Li2Sc2SiPd2Pb was calculated for Cu Kα, 1.54184 Å.
Neutral-atom scattering factors, no anomalous dispersion.

Most intense lines, 2θ from 5° to 70°, low angle first:
| (hkl) | 2θ (°) | I (rel.) |
| --- | --- | --- |
| 0 0 1 | 13.59 | 19 |
| 1 0 0 | 19.71 | 30 |
| 1 0 1 | 24.02 | 80 |
| 1 1 1 | 31.26 | 31 |
| 1 0 2 | 33.96 | 19 |
| 1 1 2 | 39.57 | 100 |
| 2 0 0 | 40.04 | 51 |
| 1 0 3 | 46.42 | 12 |
| 2 1 1 | 47.24 | 27 |
| 2 1 2 | 53.49 | 11 |
| 2 2 0 | 57.92 | 17 |
| 2 1 3 | 62.94 | 10 |

Unit cell a=4.503 b=4.503 c=6.516 alpha=90.00 beta=90.00 gamma=90.00
Sites, in units of the cell vectors:
Li: 0.000 0.500 0.226
Li: 0.500 0.000 0.774
Sc: 0.000 0.000 0.000
Sc: 0.500 0.500 0.500
Si: 0.500 0.500 0.000
Pd: 0.000 0.500 0.779
Pd: 0.500 0.000 0.221
Pb: 0.000 0.000 0.500